Fe2GeB2: computed XRD peak list (Cu Kα X-rays), based on a cell relaxed with PBE.

Structure:
Unit cell a=3.579 b=3.579 c=7.602 alpha=90.00 beta=90.00 gamma=90.00
Space group I4/mmm (No. 139)
Asymmetric unit:
1 Fe 0.000 0.500 0.250 x4
2 Ge 0.000 0.000 0.000 x2
3 B 0.000 0.000 0.385 x4

The 6 most intense peaks (10 to 80 degrees two-theta), in order of falling intensity:
(1 1 2), d = 2.106 Å, 42.94°, I = 100; (1 0 1), d = 3.238 Å, 27.55°, I = 34; (2 0 0), d = 1.789 Å, 51.04°, I = 33; (1 0 3), d = 2.068 Å, 43.77°, I = 17; (2 0 4), d = 1.303 Å, 72.56°, I = 16; (0 0 4), d = 1.900 Å, 47.86°, I = 15

MgP3NO9: computed XRD peak list (Cu Kα X-rays), based on a cell relaxed with PBE.

Structure:
Unit cell a=6.8498 b=6.8498 c=9.9887 alpha=90.00 beta=90.00 gamma=120.00
Space group P-6c2 (No. 188)
Asymmetric unit:
1 Mg 0.0000 0.0000 0.0000 x2
2 P 0.3862 0.1250 0.2500 x6
3 N 0.3333 0.6667 0.0000 x2
4 O 0.2593 0.0292 0.1223 x12
5 O 0.4917 0.0967 0.7500 x6

The 6 most intense peaks (10 to 80 degrees two-theta), in order of falling intensity:
(1 0 2), d = 3.821 Å, 23.28°, I = 100; (1 0 0), d = 5.932 Å, 14.93°, I = 85; (0 0 2), d = 4.994 Å, 17.76°, I = 61; (1 1 1), d = 3.240 Å, 27.53°, I = 57; (1 1 2), d = 2.825 Å, 31.68°, I = 41; (2 0 0), d = 2.966 Å, 30.13°, I = 40

PdBrO2: computed XRD peak list (Cu Kα X-rays), based on a cell relaxed with PBE.

Structure:
Unit cell a=3.312 b=6.232 c=6.865 alpha=105.89 beta=103.94 gamma=90.08
Space group P1 (No. 1)
Asymmetric unit:
1 Pd 0.000 0.000 0.000 x1
2 Pd 0.247 0.815 0.495 x1
3 Br 0.081 0.430 0.160 x1
4 Br 0.901 0.554 0.805 x1
5 O 0.407 0.018 0.814 x1
6 O 0.587 0.927 0.175 x1
7 O 0.698 0.988 0.396 x1
8 O 0.776 0.640 0.554 x1

The 6 most intense peaks (10 to 80 degrees two-theta), in order of falling intensity:
(1 0 -1), d = 3.205 Å, 27.84°, I = 100; (1 -1 1), d = 2.565 Å, 34.99°, I = 89; (0 1 -2), d = 3.222 Å, 27.69°, I = 61; (1 2 0), d = 2.113 Å, 42.80°, I = 60; (0 1 0), d = 5.978 Å, 14.82°, I = 57; (0 2 1), d = 2.455 Å, 36.61°, I = 53

Ac6Sm5: computed XRD peak list (Cu Kα X-rays), based on a cell relaxed with PBE.

Structure:
Unit cell a=6.660 b=11.531 c=12.132 alpha=90.00 beta=100.36 gamma=90.00
Space group C2/m (No. 12)
Asymmetric unit:
1 Ac 0.248 0.000 0.256 x4
2 Ac 0.250 0.166 0.746 x8
3 Sm 0.000 0.166 0.000 x4
4 Sm 0.000 0.332 0.500 x4
5 Sm 0.000 0.500 0.000 x2

The 6 most intense peaks (10 to 80 degrees two-theta), in order of falling intensity:
(1 3 1), d = 3.120 Å, 28.61°, I = 100; (1 3 -3), d = 2.669 Å, 33.58°, I = 44; (0 0 4), d = 2.983 Å, 29.95°, I = 29; (0 6 0), d = 1.922 Å, 47.29°, I = 26; (2 0 2), d = 2.676 Å, 33.49°, I = 22; (3 3 3), d = 1.617 Å, 56.96°, I = 20

SmDy2Ag3Se6: computed XRD peak list (Cu Kα X-rays), based on a cell relaxed with PBE.

Structure:
Unit cell a=16.223 b=4.230 c=9.919 alpha=90.00 beta=105.76 gamma=90.00
Space group C2/m (No. 12)
Asymmetric unit:
1 Sm 0.000 0.000 0.000 x2
2 Dy 0.163 0.500 0.337 x4
3 Ag 0.000 0.000 0.500 x2
4 Ag 0.174 0.500 0.958 x4
5 Se 0.014 0.500 0.799 x4
6 Se 0.158 0.000 0.527 x4
7 Se 0.188 0.000 0.147 x4

The 6 most intense peaks (10 to 80 degrees two-theta), in order of falling intensity:
(1 1 -2), d = 3.218 Å, 27.73°, I = 100; (0 2 0), d = 2.113 Å, 42.80°, I = 58; (6 0 0), d = 2.602 Å, 34.47°, I = 46; (3 1 -3), d = 2.510 Å, 35.77°, I = 42; (7 1 -2), d = 2.001 Å, 45.33°, I = 37; (2 0 -1), d = 7.055 Å, 12.55°, I = 23

Sm5ScTl3: computed XRD peak list (Cu Kα X-rays), based on a cell relaxed with PBE.

Structure:
Unit cell a=9.4883 b=9.4883 c=6.7416 alpha=90.00 beta=90.00 gamma=120.00
Space group P6_3/mcm (No. 193)
Asymmetric unit:
1 Sm 0.0000 0.3256 0.2500 x6
2 Sm 0.3333 0.6667 0.0000 x4
3 Sc 0.0000 0.0000 0.0000 x2
4 Tl 0.0000 0.3350 0.7500 x6

The 6 most intense peaks (10 to 80 degrees two-theta), in order of falling intensity:
(3 0 0), d = 2.739 Å, 32.69°, I = 100; (1 1 2), d = 2.748 Å, 32.59°, I = 79; (3 3 0), d = 1.582 Å, 58.31°, I = 49; (2 2 2), d = 1.940 Å, 46.83°, I = 29; (3 0 4), d = 1.435 Å, 64.97°, I = 28; (3 0 2), d = 2.126 Å, 42.53°, I = 25

What did the fourth record say?
Ac6Sm5: computed XRD peak list (Cu Kα X-rays), based on a cell relaxed with PBE.

Structure:
Unit cell a=6.660 b=11.531 c=12.132 alpha=90.00 beta=100.36 gamma=90.00
Space group C2/m (No. 12)
Asymmetric unit:
1 Ac 0.248 0.000 0.256 x4
2 Ac 0.250 0.166 0.746 x8
3 Sm 0.000 0.166 0.000 x4
4 Sm 0.000 0.332 0.500 x4
5 Sm 0.000 0.500 0.000 x2

The 6 most intense peaks (10 to 80 degrees two-theta), in order of falling intensity:
(1 3 1), d = 3.120 Å, 28.61°, I = 100; (1 3 -3), d = 2.669 Å, 33.58°, I = 44; (0 0 4), d = 2.983 Å, 29.95°, I = 29; (0 6 0), d = 1.922 Å, 47.29°, I = 26; (2 0 2), d = 2.676 Å, 33.49°, I = 22; (3 3 3), d = 1.617 Å, 56.96°, I = 20